Calculated PXRD pattern of ErMgAu2 for λ = 1.5418 Å (Cu Kα), from a DFT-relaxed cell (GGA-PBE, the Materials Project).
Lines closer than 0.1° are merged.

Crystal structure
a b c (Å): 4.8837 4.8837 4.8837
angles (deg): 60.00 60.00 60.00
Atoms (fractional coordinates):
Er1 0.0000 0.0000 0.0000
Mg1 0.5000 0.5000 0.5000
Au1 0.2500 0.2500 0.2500
Au2 0.7500 0.7500 0.7500

Most intense lines, 2θ = 10–90°, sorted by position:
22.3°, I = 13
25.8°, I = 15
36.8°, I = 100
43.5°, I = 7
45.5°, I = 5
53.0°, I = 18
59.9°, I = 6
66.3°, I = 36
78.3°, I = 11
89.8°, I = 17